Diffraction record for CaMgGaPt. The XRD peak list is theoretical, not measured: it uses the GGA-PBE geometry in Alexandria and Cu Kα (λ = 1.5418 Å).
Peak positions follow from Bragg's law for the DFT cell and can differ from measured ones.

```
data_CaMgGaPt
_space_group_name_H-M_alt 'F -4 3 m'
_space_group_IT_number 216
_space_group_name_Hall 'F -4 2 3'
_cell_length_a 6.6727
_cell_length_b 6.6727
_cell_length_c 6.6727
_cell_angle_alpha 90.00
_cell_angle_beta 90.00
_cell_angle_gamma 90.00
loop_
_atom_site_label
_atom_site_fract_x
_atom_site_fract_y
_atom_site_fract_z
_atom_site_occupancy
Ca1 0.0000 0.0000 0.0000 1
Mg1 0.2500 0.2500 0.7500 1
Ga1 0.2500 0.2500 0.2500 1
Pt1 0.0000 0.0000 0.5000 1
```

Largest 10 diffraction maxima, low angle first, 2θ from 10° to 90°:
- d 3.853, I = 52.2, hkl 1 1 1
- d 3.336, I = 20.7, hkl 2 0 0
- d 2.359, I = 100.0, hkl 2 2 0
- d 2.012, I = 28.5, hkl 3 1 1
- d 1.668, I = 17.0, hkl 4 0 0
- d 1.531, I = 12.3, hkl 3 3 1
- d 1.362, I = 34.2, hkl 4 2 2
- d 1.284, I = 9.3, hkl 5 1 1
- d 1.180, I = 10.7, hkl 4 4 0
- d 1.128, I = 9.7, hkl 5 3 1